NaLiSn4: calculated powder diffraction line list (Cu Kα), based on a crystal structure in Alexandria, relaxed with PBE.
No peak broadening, texture or thermal motion is included.

Cell and atoms:
Unit cell a=14.000 b=8.156 c=5.620 alpha=90.00 beta=103.98 gamma=90.00
Space group C2/m (No. 12)
Unique sites:
1 Na 0.213 0.000 0.136
2 Li 0.051 0.500 0.766
3 Sn 0.000 0.194 0.000
4 Sn 0.121 0.195 0.566
5 Sn 0.165 0.500 0.273

Main lines, in order of falling intensity (15° ≤ 2θ ≤ 90°):
Position (°2θ)	d/Å	Rel. int.
34.31	2.614	100
35.26	2.545	97
33.62	2.666	87
39.77	2.266	76
32.08	2.790	74
32.28	2.773	56
25.48	3.496	54
34.92	2.569	54
33.76	2.655	49
21.84	4.069	48